1.
Structure and calculated XRD peak list of Sr2LaI7 (a DFT-relaxed cell (PBE, the Materials Project); Cu Kα, 1.54184 Å).
No peak broadening, texture or thermal motion is included.

Principal peaks in the range 2θ from 5° to 70°, by angle:
(hkl)  Position (°2θ)  I (rel.)
2 1 1  24.3  769
1 1 3  25.6  500
1 5 0  27.7  428
2 2 -2  28.9  772
0 1 4  30.3  1000
2 3 -2  31.1  608
0 6 1  31.4  978
2 2 -3  33.4  495
2 2 3  33.6  625
2 4 2  34.0  574

Structural model:
Cell lengths 7.901, 17.598, 11.956 Å; angles 90.00, 90.26, 90.00 degrees
Space group P2_1/c (No. 14)
Symmetry-distinct sites (fractional):
Sr 0.206 0.218 0.053
Sr 0.216 0.560 0.177
La 0.284 0.631 0.724
I 0.002 0.105 0.572
I 0.006 0.239 0.304
I 0.180 0.043 0.209
I 0.193 0.642 0.463
I 0.352 0.074 0.877
I 0.498 0.103 0.556
I 0.500 0.214 0.277

2.
Structure and calculated XRD peak list of BaSrI4 (a DFT-relaxed cell (PBE, the Materials Project); Cu Kα, 1.54184 Å).
No peak broadening, texture or thermal motion is included.

Principal peaks in the range 2θ from 5° to 70°, by angle:
(hkl)  Position (°2θ)  I (rel.)
0 0 2  16.2  581
0 2 2  23.6  744
2 2 0  23.8  1000
1 0 3  25.7  543
1 3 1  28.3  390
1 2 3  31.1  825
3 2 1  31.4  441
0 4 0  34.6  406
4 1 2  38.2  399
3 2 3  39.2  738

Structural model:
Cell lengths 10.778, 10.372, 10.960 Å; angles 90.00, 90.00, 90.00 degrees
Space group Pnna (No. 52)
Symmetry-distinct sites (fractional):
Ba 0.197 0.250 0.250
Sr 0.250 0.000 0.736
I 0.050 0.539 0.228
I 0.208 0.736 0.561

3.
Structure and calculated XRD peak list of Li2SO4 (a DFT-relaxed cell (PBE, the Materials Project); Cu Kα, 1.54184 Å).
No peak broadening, texture or thermal motion is included.

Principal peaks in the range 2θ from 5° to 70°, by angle:
(hkl)  Position (°2θ)  I (rel.)
1 1 0  19.3  413
1 1 1  24.0  1000
0 2 1  25.9  611
0 0 2  28.7  205
2 0 0  32.2  184
1 1 2  34.8  321
0 2 2  36.2  177
1 3 0  36.5  147
2 2 0  39.1  423
2 4 2  63.7  207

Structural model:
Cell lengths 5.559, 8.243, 6.211 Å; angles 90.00, 90.00, 90.00 degrees
Space group Cmcm (No. 63)
Symmetry-distinct sites (fractional):
Li 0.000 0.000 0.000
Li 0.000 0.325 0.250
S 0.000 0.353 0.750
O 0.000 0.249 0.556
O 0.217 0.462 0.750

4.
Structure and calculated XRD peak list of Li3BiB2O6 (a DFT-relaxed cell (PBE, the Materials Project); Cu Kα, 1.54184 Å).
No peak broadening, texture or thermal motion is included.

Principal peaks in the range 2θ from 5° to 70°, by angle:
(hkl)  Position (°2θ)  I (rel.)
0 1 1  14.0  466
1 0 0  15.7  1000
1 1 -1  16.9  313
1 1 -2  20.0  578
0 1 2  21.7  586
0 2 1  22.7  686
1 2 -1  24.6  432
2 1 -2  28.8  258
0 1 3  30.6  557
2 2 -5  46.8  280

Structural model:
Cell lengths 6.661, 8.612, 11.007 Å; angles 90.00, 122.05, 90.00 degrees
Space group P2_1/c (No. 14)
Symmetry-distinct sites (fractional):
Li 0.062 0.182 0.111
Li 0.154 0.075 0.402
Li 0.268 0.741 0.321
Bi 0.496 0.622 0.650
B 0.075 0.105 0.854
B 0.344 0.564 0.107
O 0.119 0.609 0.635
O 0.142 0.236 0.807
O 0.211 0.529 0.383
O 0.271 0.088 0.604
O 0.294 0.640 0.983
O 0.473 0.638 0.241

5.
Structure and calculated XRD peak list of RbGe3 (a DFT-relaxed cell (PBE, the Materials Project); Cu Kα, 1.54184 Å).
No peak broadening, texture or thermal motion is included.

Principal peaks in the range 2θ from 5° to 70°, by angle:
(hkl)  Position (°2θ)  I (rel.)
1 0 0  13.6  541
1 0 1  22.6  140
2 0 0  27.4  195
2 0 1  33.0  1000
0 0 2  36.3  280
2 1 0  36.5  267
3 0 1  45.7  332
2 1 2  52.5  185
3 1 1  54.1  337
2 0 3  63.2  147

Structural model:
Cell lengths 7.5129, 7.5129, 4.9478 Å; angles 90.00, 90.00, 120.00 degrees
Space group P6_3/mmc (No. 194)
Symmetry-distinct sites (fractional):
Rb 0.3333 0.6667 0.2500
Ge 0.1176 0.2352 0.7500

6.
Structure and calculated XRD peak list of ReMo (a DFT-relaxed cell (PBE, the Materials Project); Cu Kα, 1.54184 Å).
No peak broadening, texture or thermal motion is included.

Principal peaks in the range 2θ from 5° to 70°, by angle:
(hkl)  Position (°2θ)  I (rel.)
0 0 1  19.9  107
1 1 0  35.0  55
0 0 2  40.5  202
1 1 1  40.6  1000
0 2 1  45.6  28
1 1 2  54.6  34
0 2 2  58.7  135
2 0 0  59.0  67
0 0 3  62.5  6
2 0 1  62.9  11

Structural model:
Cell lengths 3.132, 4.446, 4.458 Å; angles 90.00, 90.00, 90.00 degrees
Space group Cmmm (No. 65)
Symmetry-distinct sites (fractional):
Re 0.000 0.000 0.000
Mo 0.000 0.500 0.500